No. 1
Diffraction record for KNb8O14. The XRD peak list is calculated, not measured: it uses DFT lattice parameters and positions (GGA-PBE) and CuKα.
Peak positions follow from Bragg's law for the DFT cell and can differ from measured ones.

Structural model:
Unit cell a=9.3469 b=10.3236 c=5.9481 alpha=90.00 beta=90.00 gamma=90.00
Positions (direct):
1 K 0.0000 0.0000 0.0000
2 K 0.5000 0.5000 0.0000
3 Nb 0.1107 0.1632 0.5000
4 Nb 0.1214 0.6654 0.0000
5 Nb 0.1287 0.4237 0.2368
6 Nb 0.1287 0.4237 0.7632
7 Nb 0.3713 0.9237 0.2368
8 Nb 0.3713 0.9237 0.7632
9 Nb 0.3786 0.1654 0.0000
10 Nb 0.3893 0.6632 0.5000
11 Nb 0.6107 0.3368 0.5000
12 Nb 0.6214 0.8346 0.0000
13 Nb 0.6287 0.0763 0.2368
14 Nb 0.6287 0.0763 0.7632
15 Nb 0.8713 0.5763 0.2368
16 Nb 0.8713 0.5763 0.7632
17 Nb 0.8786 0.3346 0.0000
18 Nb 0.8893 0.8368 0.5000
19 O 0.0000 0.0000 0.5000
20 O 0.0000 0.5000 0.5000
21 O 0.0033 0.2479 0.2485
22 O 0.0033 0.2479 0.7515
23 O 0.2382 0.3222 0.5000
24 O 0.2450 0.0889 0.2528
25 O 0.2450 0.0889 0.7472
26 O 0.2448 0.8424 0.0000
27 O 0.2552 0.3424 0.0000
28 O 0.2550 0.5889 0.2528
29 O 0.2550 0.5889 0.7472
30 O 0.2618 0.8222 0.5000
31 O 0.4967 0.7479 0.2485
32 O 0.4967 0.7479 0.7515
33 O 0.5000 0.0000 0.5000
34 O 0.5000 0.5000 0.5000
35 O 0.5033 0.2521 0.2485
36 O 0.5033 0.2521 0.7515
37 O 0.7382 0.1778 0.5000
38 O 0.7450 0.4111 0.2528
39 O 0.7450 0.4111 0.7472
40 O 0.7448 0.6576 0.0000
41 O 0.7552 0.1576 0.0000
42 O 0.7550 0.9111 0.2528
43 O 0.7550 0.9111 0.7472
44 O 0.7618 0.6778 0.5000
45 O 0.9967 0.7521 0.2485
46 O 0.9967 0.7521 0.7515

The 8 most intense peaks (10° ≤ 2θ ≤ 90°), sorted by position:
d (Å)	2theta	I/Imax
6.929	12.78	830
3.462	25.73	960
2.838	31.52	567
2.771	32.31	388
2.486	36.14	673
1.986	45.67	1000
1.799	50.76	390
1.490	62.33	459

---

No. 2
Diffraction record for K2NbPbO6. The XRD peak list is calculated, not measured: it uses DFT lattice parameters and positions (GGA-PBE) and CuKα.
Peak positions follow from Bragg's law for the DFT cell and can differ from measured ones.

Structural model:
Unit cell a=5.8616 b=5.8616 c=5.8616 alpha=60.00 beta=60.00 gamma=60.00
Positions (direct):
1 K 0.2500 0.2500 0.2500
2 K 0.7500 0.7500 0.7500
3 Nb 0.0000 0.0000 0.0000
4 Pb 0.5000 0.5000 0.5000
5 O 0.2401 0.2401 0.7599
6 O 0.2401 0.7599 0.2401
7 O 0.2401 0.7599 0.7599
8 O 0.7599 0.2401 0.2401
9 O 0.7599 0.2401 0.7599
10 O 0.7599 0.7599 0.2401

The 8 most intense peaks (10° ≤ 2θ ≤ 90°), sorted by position:
d (Å)	2theta	I/Imax
4.145	21.44	620
2.931	30.50	1000
2.072	43.68	342
1.854	49.15	282
1.692	54.21	396
1.465	63.48	206
1.311	72.06	174
1.108	88.20	213

---

No. 3
Diffraction record for K2RbTbNb2O8. The XRD peak list is calculated, not measured: it uses DFT lattice parameters and positions (GGA-PBE) and CuKα.
Peak positions follow from Bragg's law for the DFT cell and can differ from measured ones.

Structural model:
Unit cell a=6.0495 b=6.0495 c=7.6332 alpha=90.00 beta=90.00 gamma=120.00
Positions (direct):
1 K 0.3333 0.6667 0.1577
2 K 0.6667 0.3333 0.8423
3 Rb 0.0000 0.0000 0.5000
4 Tb 0.0000 0.0000 0.0000
5 Nb 0.3333 0.6667 0.7194
6 Nb 0.6667 0.3333 0.2806
7 O 0.1683 0.3366 0.8173
8 O 0.1683 0.8317 0.8173
9 O 0.3333 0.6667 0.4805
10 O 0.3366 0.1683 0.1827
11 O 0.6634 0.8317 0.8173
12 O 0.6667 0.3333 0.5195
13 O 0.8317 0.1683 0.1827
14 O 0.8317 0.6634 0.1827

The 8 most intense peaks (10° ≤ 2θ ≤ 90°), sorted by position:
d (Å)	2theta	I/Imax
4.319	20.56	451
3.085	28.94	885
3.025	29.53	1000
2.160	41.83	472
1.758	52.03	343
1.746	52.39	192
1.512	61.29	172
1.358	69.18	148